Starting from a cell relaxed with PBE, the powder diffraction line list of MgBeAl4O8 was calculated for Cu Kα, 1.54184 Å.

Top 10 peaks for 15 to 90 degrees two-theta, by angle:
d_spacing  two_theta  Rel. int.
4.735  18.7  42
4.322  20.5  43
2.592  34.6  42
2.408  37.3  100
2.368  38.0  38
2.037  44.5  98
1.911  47.6  60
1.468  63.4  62
1.415  66.0  94
1.378  68.0  37

Structure:
```
data_MgBeAl4O8
_chemical_formula_sum 'Mg4 Be4 Al16 O32'
_space_group_name_H-M_alt 'P 63 m c'
_space_group_IT_number 186
_space_group_name_Hall 'P 6c -2c'
_cell_length_a 5.6600
_cell_length_b 5.6600
_cell_length_c 18.3251
_cell_angle_alpha 90.00
_cell_angle_beta 90.00
_cell_angle_gamma 120.00
loop_
_atom_site_label
_atom_site_fract_x
_atom_site_fract_y
_atom_site_fract_z
Mg1 0.0000 0.0000 0.0000
Mg2 0.3333 0.6667 0.2501
Be1 0.3333 0.6667 0.4373
Be2 0.3333 0.6667 0.7010
Al1 0.0000 0.0000 0.2095
Al2 0.0031 0.5015 0.0932
Al3 0.1634 0.3267 0.8421
Al4 0.3333 0.6667 0.9686
O1 0.0000 0.0000 0.3955
O2 0.0129 0.5065 0.9038
O3 0.1474 0.2947 0.2810
O4 0.1802 0.3604 0.6559
O5 0.1841 0.3681 0.0342
O6 0.3333 0.6667 0.1461
O7 0.3333 0.6667 0.5342
O8 0.3333 0.6667 0.7887
```